[1]
Theoretical powder diffractogram
Compound: SrTaVO6
Radiation: Cu Kα (weighted mean of Kα1 and Kα2)
Structure: a PBE+U-relaxed structure
Intensities are scaled so that the largest is 100.

The 6 most intense peaks (5° ≤ 2θ ≤ 70°), low angle first:
4.387 Å, 20.24°, rel. 40, hkl 1 0 1
3.487 Å, 25.54°, rel. 100, hkl 1 1 0
2.685 Å, 33.37°, rel. 81, hkl 1 0 3
2.466 Å, 36.44°, rel. 21, hkl 2 0 0
1.816 Å, 50.23°, rel. 63, hkl 2 1 3
1.744 Å, 52.48°, rel. 18, hkl 2 2 0

Structure:
Cell: 4.9317 4.9317 9.6048 Å, 90.00 90.00 90.00°
Element x y z (fractional)
Sr 0.0000 0.0000 0.0000
Sr 0.5000 0.5000 0.5000
Ta 0.0000 0.0000 0.3387
Ta 0.5000 0.5000 0.8387
V 0.0000 0.0000 0.6686
V 0.5000 0.5000 0.1686
O 0.1653 0.1653 0.5101
O 0.2253 0.2253 0.7986
O 0.2380 0.2380 0.2070
O 0.2620 0.7380 0.7070
O 0.2747 0.7253 0.2986
O 0.3347 0.6653 0.0101
O 0.6653 0.3347 0.0101
O 0.7253 0.2747 0.2986
O 0.7380 0.2620 0.7070
O 0.7620 0.7620 0.2070
O 0.7747 0.7747 0.7986
O 0.8347 0.8347 0.5101

[2]
Theoretical powder diffractogram
Compound: Sr2TaVO6
Radiation: Cu Kα (weighted mean of Kα1 and Kα2)
Structure: a PBE+U-relaxed structure
Intensities are scaled so that the largest is 100.

The 6 most intense peaks (5° ≤ 2θ ≤ 70°), low angle first:
4.646 Å, 19.10°, rel. 19, hkl 1 -1 0
4.620 Å, 19.21°, rel. 20, hkl 0 1 -1
2.857 Å, 31.30°, rel. 24, hkl -1 1 1
2.835 Å, 31.56°, rel. 100, hkl 1 0 1
2.827 Å, 31.65°, rel. 25, hkl 2 -1 0
2.012 Å, 45.07°, rel. 32, hkl 0 2 0

Structure:
Cell: 5.6540 5.6603 5.6770 Å, 119.46 90.43 119.91°
Element x y z (fractional)
Sr 0.2487 0.4962 0.2445
Sr 0.7513 0.5038 0.7555
Ta 0.0000 0.0000 0.5000
V 0.5000 0.0000 0.0000
O 0.2211 0.0057 0.2273
O 0.2502 0.9482 0.6943
O 0.2720 0.4935 0.7752
O 0.7280 0.5065 0.2248
O 0.7498 0.0518 0.3057
O 0.7789 0.9943 0.7727